1.
This entry pairs a crystal structure of Sc2P3H3O9 with its simulated powder diffraction line list. Radiation: Cu Kα (λ = 1.5418 Å). Structure: DFT lattice parameters and positions (GGA-PBE).
Neutral-atom scattering factors, no anomalous dispersion.

Structure:
Cell lengths 8.4892, 8.4892, 7.8030 Å; angles 90.00, 90.00, 120.00 degrees
Space group P6_3/m (No. 176)
Symmetry-distinct sites (fractional):
Sc 0.3333 0.6667 0.0453 x4
P 0.0424 0.6844 0.7500 x6
H 0.0020 0.1765 0.2500 x6
O 0.1406 0.4987 0.2500 x6
O 0.1497 0.7067 0.5856 x12

Principal peaks in the range 2θ = 10–90°, in order of falling intensity:
- 2θ = 12.04°, d = 7.352 Å, intensity 100
- 2θ = 23.86°, d = 3.729 Å, intensity 80
- 2θ = 31.14°, d = 2.872 Å, intensity 34
- 2θ = 26.81°, d = 3.325 Å, intensity 17
- 2θ = 57.43°, d = 1.605 Å, intensity 16
- 2θ = 36.67°, d = 2.451 Å, intensity 14
- 2θ = 47.90°, d = 1.899 Å, intensity 13
- 2θ = 48.85°, d = 1.864 Å, intensity 11
- 2θ = 32.21°, d = 2.779 Å, intensity 10
- 2θ = 50.50°, d = 1.807 Å, intensity 8
- 2θ = 62.61°, d = 1.484 Å, intensity 7
- 2θ = 24.21°, d = 3.676 Å, intensity 7

=====

2.
This entry pairs a crystal structure of ScP3H6O12 with its simulated powder diffraction line list. Radiation: Cu Kα (λ = 1.5418 Å). Structure: DFT lattice parameters and positions (GGA-PBE).
Neutral-atom scattering factors, no anomalous dispersion.

Structure:
Cell lengths 8.4328, 8.4328, 25.9093 Å; angles 90.00, 90.00, 120.00 degrees
Space group R3c (No. 161, hexagonal axes)
Symmetry-distinct sites (fractional):
Sc 0.0000 0.0000 0.0000 x6
P 0.0001 0.3405 0.2505 x18
H 0.0499 0.2506 0.7625 x18
H 0.1711 0.3480 0.8510 x18
O 0.0427 0.5054 0.9508 x18
O 0.0468 0.2255 0.5448 x18
O 0.1564 0.4405 0.6222 x18
O 0.1824 0.3844 0.8880 x18

Principal peaks in the range 2θ = 10–90°, in order of falling intensity:
- 2θ = 23.48°, d = 3.789 Å, intensity 100
- 2θ = 29.61°, d = 3.017 Å, intensity 40
- 2θ = 13.92°, d = 6.362 Å, intensity 34
- 2θ = 18.31°, d = 4.846 Å, intensity 33
- 2θ = 28.05°, d = 3.181 Å, intensity 22
- 2θ = 43.06°, d = 2.101 Å, intensity 22
- 2θ = 25.34°, d = 3.515 Å, intensity 19
- 2θ = 20.57°, d = 4.318 Å, intensity 18
- 2θ = 57.01°, d = 1.615 Å, intensity 17
- 2θ = 48.18°, d = 1.889 Å, intensity 11
- 2θ = 21.07°, d = 4.216 Å, intensity 9
- 2θ = 53.90°, d = 1.701 Å, intensity 7

=====

3.
This entry pairs a crystal structure of SnP2H2O8 with its simulated powder diffraction line list. Radiation: Cu Kα (λ = 1.5418 Å). Structure: DFT lattice parameters and positions (GGA-PBE).
Neutral-atom scattering factors, no anomalous dispersion.

Structure:
Cell lengths 15.0634, 8.9462, 4.9750 Å; angles 90.00, 95.40, 90.00 degrees
Space group C2/c (No. 15)
Symmetry-distinct sites (fractional):
Sn 0.0000 0.1259 0.2500 x4
P 0.1331 0.2018 0.7826 x8
H 0.2240 0.3627 0.1598 x8
O 0.0748 0.0720 0.9253 x8
O 0.0780 0.2484 0.5132 x8
O 0.1434 0.3280 0.9796 x8
O 0.2185 0.1221 0.7077 x8

Principal peaks in the range 2θ = 10–90°, in order of falling intensity:
- 2θ = 11.52°, d = 7.683 Å, intensity 100
- 2θ = 11.80°, d = 7.498 Å, intensity 37
- 2θ = 26.08°, d = 3.416 Å, intensity 21
- 2θ = 28.71°, d = 3.109 Å, intensity 19
- 2θ = 28.35°, d = 3.148 Å, intensity 19
- 2θ = 34.96°, d = 2.566 Å, intensity 18
- 2θ = 30.12°, d = 2.967 Å, intensity 15
- 2θ = 37.29°, d = 2.411 Å, intensity 11
- 2θ = 20.35°, d = 4.364 Å, intensity 11
- 2θ = 40.39°, d = 2.233 Å, intensity 9
- 2θ = 19.85°, d = 4.473 Å, intensity 8
- 2θ = 54.54°, d = 1.683 Å, intensity 7

=====

4.
This entry pairs a crystal structure of SnPHO4 with its simulated powder diffraction line list. Radiation: Cu Kα (λ = 1.5418 Å). Structure: DFT lattice parameters and positions (GGA-PBE).
Neutral-atom scattering factors, no anomalous dispersion.

Structure:
Cell lengths 4.6917, 14.0035, 5.9540 Å; angles 90.00, 99.60, 90.00 degrees
Space group P2_1/c (No. 14)
Symmetry-distinct sites (fractional):
Sn 0.0310 0.1629 0.0862 x4
P 0.4549 0.6502 0.9518 x4
H 0.4103 0.0125 0.6915 x4
O 0.2168 0.7146 0.8159 x4
O 0.2823 0.2144 0.4429 x4
O 0.3548 0.5920 0.1413 x4
O 0.4514 0.0832 0.7372 x4

Principal peaks in the range 2θ = 10–90°, in order of falling intensity:
- 2θ = 29.54°, d = 3.024 Å, intensity 100
- 2θ = 12.64°, d = 7.002 Å, intensity 96
- 2θ = 23.29°, d = 3.819 Å, intensity 42
- 2θ = 29.41°, d = 3.037 Å, intensity 39
- 2θ = 31.13°, d = 2.873 Å, intensity 35
- 2θ = 32.77°, d = 2.733 Å, intensity 33
- 2θ = 27.21°, d = 3.277 Å, intensity 32
- 2θ = 23.04°, d = 3.860 Å, intensity 26
- 2θ = 39.53°, d = 2.280 Å, intensity 26
- 2θ = 25.44°, d = 3.501 Å, intensity 25
- 2θ = 24.36°, d = 3.654 Å, intensity 21
- 2θ = 43.43°, d = 2.084 Å, intensity 20